# 1
# CeMg2Ag
Computed XRD peak list, a wavelength of 1.5418 Å. Input: a structure optimized by DFT (GGA-PBE).

Top 9 peaks for 5° ≤ 2θ ≤ 70°, most intense first:
- 2θ = 35.31°, I = 100
- 2θ = 24.77°, I = 55
- 2θ = 63.38°, I = 35
- 2θ = 57.32°, I = 21
- 2θ = 50.80°, I = 17
- 2θ = 43.61°, I = 16
- 2θ = 21.41°, I = 2
- 2θ = 41.67°, I = 1
- 2θ = 55.74°, I = 1

Structural model:
a = 7.1889 Å, b = 7.1889 Å, c = 7.1889 Å
α = 90.00°, β = 90.00°, γ = 90.00°
Sites, in units of the cell vectors:
1 Ce 0.0000 0.0000 0.0000
2 Ce 0.0000 0.5000 0.5000
3 Ce 0.5000 0.0000 0.5000
4 Ce 0.5000 0.5000 0.0000
5 Mg 0.2500 0.2500 0.2500
6 Mg 0.2500 0.2500 0.7500
7 Mg 0.2500 0.7500 0.2500
8 Mg 0.2500 0.7500 0.7500
9 Mg 0.7500 0.2500 0.2500
10 Mg 0.7500 0.2500 0.7500
11 Mg 0.7500 0.7500 0.2500
12 Mg 0.7500 0.7500 0.7500
13 Ag 0.0000 0.0000 0.5000
14 Ag 0.0000 0.5000 0.0000
15 Ag 0.5000 0.0000 0.0000
16 Ag 0.5000 0.5000 0.5000

=====

# 2
# Mg3Si2
Computed XRD peak list, a wavelength of 1.5418 Å. Input: a structure optimized by DFT (GGA-PBE).

Top 10 peaks for 5° ≤ 2θ ≤ 70°, most intense first:
- 2θ = 40.87°, I = 100
- 2θ = 35.19°, I = 85
- 2θ = 41.65°, I = 59
- 2θ = 33.09°, I = 59
- 2θ = 40.97°, I = 49
- 2θ = 37.72°, I = 48
- 2θ = 35.55°, I = 48
- 2θ = 37.46°, I = 47
- 2θ = 35.70°, I = 46
- 2θ = 36.25°, I = 40

Structural model:
a = 5.3536 Å, b = 5.5368 Å, c = 13.3508 Å
α = 101.49°, β = 97.51°, γ = 92.21°
Sites, in units of the cell vectors:
1 Mg 0.0273 0.1631 0.1119
2 Mg 0.1523 0.7621 0.4914
3 Mg 0.2053 0.0989 0.7305
4 Mg 0.2676 0.6458 0.2498
5 Mg 0.3340 0.2069 0.3586
6 Mg 0.4437 0.7642 0.0446
7 Mg 0.5563 0.2358 0.9554
8 Mg 0.6660 0.7931 0.6414
9 Mg 0.7324 0.3542 0.7502
10 Mg 0.7947 0.9011 0.2695
11 Mg 0.8477 0.2379 0.5086
12 Mg 0.9727 0.8369 0.8881
13 Si 0.0592 0.3479 0.9303
14 Si 0.1509 0.5780 0.6760
15 Si 0.3760 0.2583 0.5705
16 Si 0.4594 0.7584 0.8287
17 Si 0.5406 0.2416 0.1713
18 Si 0.6240 0.7417 0.4295
19 Si 0.8491 0.4220 0.3240
20 Si 0.9408 0.6521 0.0697

=====

# 3
# NaEuSnSbO6
Computed XRD peak list, a wavelength of 1.5418 Å. Input: a structure optimized by DFT (GGA-PBE).

Top 10 peaks for 5° ≤ 2θ ≤ 70°, most intense first:
- 2θ = 28.54°, I = 100
- 2θ = 28.76°, I = 99
- 2θ = 28.39°, I = 98
- 2θ = 14.27°, I = 65
- 2θ = 50.63°, I = 50
- 2θ = 50.23°, I = 47
- 2θ = 50.91°, I = 42
- 2θ = 40.26°, I = 33
- 2θ = 41.34°, I = 31
- 2θ = 40.90°, I = 29

Structural model:
a = 8.7357 Å, b = 8.8251 Å, c = 8.9599 Å
α = 90.00°, β = 90.00°, γ = 90.00°
Sites, in units of the cell vectors:
1 Na 0.2500 0.2500 0.2500
2 Na 0.2500 0.2500 0.7500
3 Na 0.7500 0.7500 0.2500
4 Na 0.7500 0.7500 0.7500
5 Eu 0.2500 0.7500 0.2500
6 Eu 0.2500 0.7500 0.7500
7 Eu 0.7500 0.2500 0.2500
8 Eu 0.7500 0.2500 0.7500
9 Sn 0.0000 0.0000 0.0000
10 Sn 0.0000 0.5000 0.5000
11 Sn 0.5000 0.0000 0.5000
12 Sn 0.5000 0.5000 0.0000
13 Sb 0.0000 0.0000 0.5000
14 Sb 0.0000 0.5000 0.0000
15 Sb 0.5000 0.0000 0.0000
16 Sb 0.5000 0.5000 0.5000
17 O 0.0036 0.2481 0.0373
18 O 0.0036 0.2519 0.4627
19 O 0.0342 0.0316 0.7521
20 O 0.0342 0.4684 0.7479
21 O 0.2468 0.5598 0.4729
22 O 0.2468 0.9402 0.0271
23 O 0.2532 0.5598 0.0271
24 O 0.2532 0.9402 0.4729
25 O 0.4658 0.0316 0.7479
26 O 0.4658 0.4684 0.7521
27 O 0.4964 0.2481 0.4627
28 O 0.4964 0.2519 0.0373
29 O 0.5036 0.7481 0.9627
30 O 0.5036 0.7519 0.5373
31 O 0.5342 0.5316 0.2479
32 O 0.5342 0.9684 0.2521
33 O 0.7468 0.0598 0.5271
34 O 0.7468 0.4402 0.9729
35 O 0.7532 0.0598 0.9729
36 O 0.7532 0.4402 0.5271
37 O 0.9658 0.5316 0.2521
38 O 0.9658 0.9684 0.2479
39 O 0.9964 0.7481 0.5373
40 O 0.9964 0.7519 0.9627